Theoretical X-ray diffraction stick pattern of Ho2Sc2Cd for a wavelength of 1.5418 Å, from a cell relaxed with GGA-PBE.
Intensities are scaled so that the largest is 100.

Peak list (8 most intense, 10 to 90 degrees two-theta, low angle first)
7.035 Å, 12.58°, rel. 22.0; 5.390 Å, 16.45°, rel. 11.7; 2.899 Å, 30.85°, rel. 25.4; 2.680 Å, 33.44°, rel. 36.9; 2.564 Å, 35.00°, rel. 100.0; 2.535 Å, 35.41°, rel. 45.1; 1.681 Å, 54.60°, rel. 17.2; 1.429 Å, 65.31°, rel. 14.8

Crystal structure
Cell: 14.555 5.835 6.362 Å, 90.00 104.82 90.00°
Space group C2/c (No. 15)
Inequivalent atoms, fractional coordinates:
Ho  0.103  0.092  0.461 x8
Sc  0.197  0.414  0.143 x8
Cd  0.000  0.418  0.750 x4